(1)
Diffraction record for U5Sn4. The powder X-ray diffraction pattern is calculated, not measured: it uses the GGA-PBE geometry in the Materials Project and λ = 1.5418 Å (Cu Kα).
Kinematic intensities with the Lorentz-polarization factor, no thermal factor.

Principal peaks in the range 10 to 80 degrees two-theta, by angle:
2θ 23.85, rel. 14, hkl 1 1 1; 2θ 32.63, rel. 34, hkl 2 1 1; 2θ 33.18, rel. 100, hkl 3 0 0; 2θ 34.76, rel. 100, hkl 1 1 2; 2θ 42.82, rel. 9, hkl 3 1 1; 2θ 48.81, rel. 33, hkl 2 2 2; 2θ 51.33, rel. 10, hkl 3 2 1; 2θ 59.27, rel. 11, hkl 3 3 0; 2θ 60.29, rel. 27, hkl 4 1 2; 2θ 62.50, rel. 10, hkl 4 2 1; 2θ 65.95, rel. 12, hkl 5 1 1; 2θ 70.09, rel. 25, hkl 3 0 4

Structure:
a = 9.3541 Å, b = 9.3541 Å, c = 6.1898 Å
α = 90.00°, β = 90.00°, γ = 120.00°
Space group P6_3/mcm (No. 193)
One atom of each set of equivalent atoms:
1 U 0.0000 0.2892 0.2500 [6 per cell]
2 U 0.3333 0.6667 0.0000 [4 per cell]
3 Sn 0.0000 0.0000 0.0000 [2 per cell]
4 Sn 0.0000 0.3738 0.7500 [6 per cell]

***

(2)
Diffraction record for USn3. The powder X-ray diffraction pattern is calculated, not measured: it uses the GGA-PBE geometry in the Materials Project and λ = 1.5418 Å (Cu Kα).
Kinematic intensities with the Lorentz-polarization factor, no thermal factor.

Principal peaks in the range 10 to 80 degrees two-theta, by angle:
2θ 19.15, rel. 9, hkl 1 0 0; 2θ 27.22, rel. 8, hkl 1 1 0; 2θ 33.49, rel. 100, hkl 1 1 1; 2θ 38.87, rel. 50, hkl 2 0 0; 2θ 43.68, rel. 5, hkl 2 1 0; 2θ 48.10, rel. 4, hkl 2 1 1; 2θ 56.14, rel. 36, hkl 2 2 0; 2θ 59.88, rel. 2, hkl 3 0 0; 2θ 63.48, rel. 2, hkl 3 1 0; 2θ 66.98, rel. 43, hkl 3 1 1; 2θ 70.38, rel. 13, hkl 2 2 2; 2θ 76.99, rel. 2, hkl 3 2 1

Structure:
a = 4.634 Å, b = 4.634 Å, c = 4.634 Å
α = 90.00°, β = 90.00°, γ = 90.00°
Space group Pm-3m (No. 221)
One atom of each set of equivalent atoms:
1 U 0.000 0.000 0.000 [1 per cell]
2 Sn 0.000 0.500 0.500 [3 per cell]

***

(3)
Diffraction record for V3Sn. The powder X-ray diffraction pattern is calculated, not measured: it uses the GGA-PBE geometry in the Materials Project and λ = 1.5418 Å (Cu Kα).
Kinematic intensities with the Lorentz-polarization factor, no thermal factor.

Principal peaks in the range 10 to 80 degrees two-theta, by angle:
2θ 26.83, rel. 32, hkl 1 0 1; 2θ 31.67, rel. 12, hkl 1 1 0; 2θ 36.73, rel. 24, hkl 2 0 0; 2θ 39.84, rel. 27, hkl 0 0 2; 2θ 41.98, rel. 100, hkl 2 0 1; 2θ 49.26, rel. 6, hkl 2 1 0; 2θ 51.76, rel. 7, hkl 1 1 2; 2θ 55.30, rel. 14, hkl 2 0 2; 2θ 65.14, rel. 6, hkl 2 1 2; 2θ 66.15, rel. 15, hkl 2 2 0; 2θ 72.74, rel. 7, hkl 3 1 1; 2θ 73.79, rel. 18, hkl 2 0 3

Structure:
a = 5.6508 Å, b = 5.6508 Å, c = 4.5256 Å
α = 90.00°, β = 90.00°, γ = 120.00°
Space group P6_3/mmc (No. 194)
One atom of each set of equivalent atoms:
1 V 0.1494 0.2988 0.2500 [6 per cell]
2 Sn 0.3333 0.6667 0.7500 [2 per cell]

***

(4)
Diffraction record for VSn2. The powder X-ray diffraction pattern is calculated, not measured: it uses the GGA-PBE geometry in the Materials Project and λ = 1.5418 Å (Cu Kα).
Kinematic intensities with the Lorentz-polarization factor, no thermal factor.

Principal peaks in the range 10 to 80 degrees two-theta, by angle:
2θ 30.25, rel. 61, hkl 1 1 5; 2θ 32.98, rel. 100, hkl 1 3 1; 2θ 33.79, rel. 83, hkl 2 0 2; 2θ 34.31, rel. 77, hkl 0 2 6; 2θ 35.71, rel. 55, hkl 1 3 3; 2θ 37.66, rel. 24, hkl 2 2 0; 2θ 38.46, rel. 75, hkl 1 1 7; 2θ 42.45, rel. 81, hkl 2 2 4; 2θ 42.71, rel. 40, hkl 0 4 4; 2θ 59.23, rel. 51, hkl 0 6 2; 2θ 64.20, rel. 30, hkl 1 3 11; 2θ 68.36, rel. 29, hkl 2 6 0

Structure:
a = 5.530 Å, b = 9.484 Å, c = 18.798 Å
α = 90.00°, β = 90.00°, γ = 90.00°
Space group Fddd (No. 70, origin choice 2)
One atom of each set of equivalent atoms:
1 V 0.125 0.125 0.253 [16 per cell]
2 Sn 0.125 0.125 0.541 [16 per cell]
3 Sn 0.125 0.291 0.125 [16 per cell]